Entry 1:
Diffraction record for CaMo2O6. The PXRD pattern is theoretical, not measured: it uses a GGA+U-relaxed structure and Cu Kα (weighted mean of Kα1 and Kα2).
Intensities are scaled so that the largest is 100.

a b c (Å): 5.4609 5.5658 9.4558
angles (deg): 90.00 124.85 90.00
Element x y z (fractional)
Ca: 0.0000 0.2018 0.0000
Ca: 0.0000 0.7982 0.5000
Mo: 0.2414 0.2531 0.7528
Mo: 0.2414 0.7469 0.2528
Mo: 0.7392 0.2586 0.2537
Mo: 0.7392 0.7414 0.7537
O: 0.0609 0.0217 0.2827
O: 0.0609 0.9783 0.7827
O: 0.3956 0.4640 0.2093
O: 0.3956 0.5360 0.7093
O: 0.4900 0.0319 0.7194
O: 0.4900 0.9681 0.2194
O: 0.5751 0.2691 0.0072
O: 0.5751 0.7309 0.5072
O: 0.9269 0.2316 0.4959
O: 0.9269 0.7684 0.9959
O: 0.9887 0.4521 0.7958
O: 0.9887 0.5479 0.2958

Largest 8 diffraction maxima, sorted by position, 5 to 70 degrees two-theta:
two_theta  Rel. int.
22.81  100
22.92  48
32.17  25
32.47  50
32.65  47
32.80  24
46.60  37
52.63  19

=====

Entry 2:
Diffraction record for Mg3Al12FeSi4B4O36. The PXRD pattern is theoretical, not measured: it uses a GGA+U-relaxed structure and Cu Kα (weighted mean of Kα1 and Kα2).
Intensities are scaled so that the largest is 100.

a b c (Å): 10.4384 5.8267 11.1239
angles (deg): 90.00 90.03 90.00
Element x y z (fractional)
Mg: 0.0000 0.0000 0.0000
Mg: 0.1846 0.5000 0.4381
Mg: 0.5000 0.5000 0.9382
Al: 0.0923 0.2499 0.2191
Al: 0.0923 0.2500 0.7191
Al: 0.0923 0.7501 0.2191
Al: 0.0923 0.7500 0.7191
Al: 0.3188 0.5000 0.6671
Al: 0.3658 0.5000 0.1668
Al: 0.5924 0.2501 0.2184
Al: 0.5924 0.2499 0.7198
Al: 0.5924 0.7499 0.2184
Al: 0.5924 0.7501 0.7198
Al: 0.8189 0.0000 0.2712
Al: 0.8663 0.0000 0.7712
Fe: 0.6852 0.0000 0.5008
Si: 0.0275 0.0000 0.4553
Si: 0.1584 0.5000 0.9828
Si: 0.5252 0.5000 0.4819
Si: 0.6586 0.0000 0.9552
B: 0.3415 0.0000 0.7193
B: 0.3434 0.0000 0.2193
B: 0.8415 0.5000 0.2188
B: 0.8436 0.5000 0.7187
O: 0.0454 0.0000 0.8188
O: 0.0662 0.0000 0.5990
O: 0.0858 0.2280 0.3899
O: 0.0858 0.7720 0.3899
O: 0.0995 0.2723 0.0482
O: 0.0995 0.7277 0.0482
O: 0.1189 0.5000 0.8392
O: 0.1396 0.5000 0.6192
O: 0.2109 0.5000 0.2415
O: 0.2140 0.0000 0.2155
O: 0.2733 0.2043 0.7201
O: 0.2733 0.7957 0.7201
O: 0.3173 0.5000 0.0075
O: 0.3673 0.5000 0.5074
O: 0.4116 0.2044 0.2201
O: 0.4116 0.7956 0.2201
O: 0.4709 0.0000 0.7153
O: 0.4740 0.5000 0.7414
O: 0.5454 0.5000 0.1193
O: 0.5662 0.5000 0.3392
O: 0.5845 0.2751 0.5493
O: 0.5845 0.7249 0.5493
O: 0.5994 0.2278 0.8901
O: 0.5994 0.7722 0.8901
O: 0.6187 0.0000 0.0984
O: 0.6389 0.0000 0.3159
O: 0.7104 0.0000 0.6994
O: 0.7139 0.5000 0.7225
O: 0.7732 0.2959 0.2181
O: 0.7732 0.7041 0.2181
O: 0.8173 0.0000 0.9306
O: 0.8700 0.0000 0.4287
O: 0.9116 0.2958 0.7180
O: 0.9116 0.7042 0.7180
O: 0.9709 0.5000 0.2226
O: 0.9740 0.0000 0.1964

Largest 8 diffraction maxima, sorted by position, 5 to 70 degrees two-theta:
two_theta  Rel. int.
15.93  71
16.99  86
17.43  100
23.70  37
29.89  22
32.19  56
41.22  28
62.15  23

=====

Entry 3:
Diffraction record for Ba2CuWO6. The PXRD pattern is theoretical, not measured: it uses a GGA+U-relaxed structure and Cu Kα (weighted mean of Kα1 and Kα2).
Intensities are scaled so that the largest is 100.

a b c (Å): 5.9814 5.9814 5.9814
angles (deg): 123.87 123.87 83.41
Element x y z (fractional)
Ba: 0.2500 0.7500 0.5000
Ba: 0.7500 0.2500 0.5000
Cu: 0.0000 0.0000 0.0000
W: 0.5000 0.5000 0.0000
O: 0.2531 0.2531 0.5062
O: 0.2531 0.7469 0.0000
O: 0.2818 0.2818 0.0000
O: 0.7182 0.7182 0.0000
O: 0.7469 0.2531 0.0000
O: 0.7469 0.7469 0.4938

Largest 8 diffraction maxima, sorted by position, 5 to 70 degrees two-theta:
two_theta  Rel. int.
18.64  20
30.08  100
31.80  43
40.40  17
45.59  25
52.30  21
55.59  36
62.53  18

=====

Entry 4:
Diffraction record for MgVSnO4. The PXRD pattern is theoretical, not measured: it uses a GGA+U-relaxed structure and Cu Kα (weighted mean of Kα1 and Kα2).
Intensities are scaled so that the largest is 100.

a b c (Å): 5.4889 3.1421 5.4946
angles (deg): 90.00 105.46 90.00
Element x y z (fractional)
Mg: 0.0000 0.0000 0.0000
V: 0.7311 0.5000 0.2666
Sn: 0.3344 0.0000 0.6644
O: 0.0041 0.0000 0.3742
O: 0.1464 0.5000 0.8534
O: 0.4886 0.5000 0.5101
O: 0.6249 0.0000 0.9943

Largest 8 diffraction maxima, sorted by position, 5 to 70 degrees two-theta:
two_theta  Rel. int.
16.75  67
20.32  91
26.81  100
33.16  90
33.58  48
35.18  56
44.54  58
51.52  44

=====

Entry 5:
Diffraction record for Ba3SrZn2W2O12. The PXRD pattern is theoretical, not measured: it uses a GGA+U-relaxed structure and Cu Kα (weighted mean of Kα1 and Kα2).
Intensities are scaled so that the largest is 100.

a b c (Å): 10.0610 10.0610 10.0610
angles (deg): 33.57 33.57 33.57
Element x y z (fractional)
Ba: 0.0000 0.0000 0.0000
Ba: 0.2498 0.2498 0.2498
Ba: 0.4996 0.4996 0.4996
Sr: 0.7498 0.7498 0.7498
Zn: 0.1247 0.1247 0.1247
Zn: 0.6250 0.6250 0.6250
W: 0.3752 0.3752 0.3752
W: 0.8744 0.8744 0.8744
O: 0.0157 0.4957 0.4957
O: 0.2324 0.7555 0.7555
O: 0.2554 0.2554 0.7335
O: 0.2554 0.7335 0.2554
O: 0.4957 0.0157 0.4957
O: 0.4957 0.4957 0.0157
O: 0.5176 0.9928 0.9928
O: 0.7335 0.2554 0.2554
O: 0.7555 0.2324 0.7555
O: 0.7555 0.7555 0.2324
O: 0.9928 0.5176 0.9928
O: 0.9928 0.9928 0.5176

Largest 8 diffraction maxima, sorted by position, 5 to 70 degrees two-theta:
two_theta  Rel. int.
18.71  15
30.78  100
36.26  7
44.09  30
54.73  40
58.36  3
64.11  18
67.43  3

=====

Entry 6:
Diffraction record for Ba5SrNd2Fe4O15. The PXRD pattern is theoretical, not measured: it uses a GGA+U-relaxed structure and Cu Kα (weighted mean of Kα1 and Kα2).
Intensities are scaled so that the largest is 100.

a b c (Å): 11.8643 11.8643 7.0938
angles (deg): 90.04 90.04 119.85
Element x y z (fractional)
Ba: 0.0001 0.9999 0.0000
Ba: 0.9999 0.0001 0.5000
Ba: 0.1708 0.3466 0.6620
Ba: 0.1740 0.8260 0.6641
Ba: 0.3329 0.6688 0.9800
Ba: 0.3466 0.1708 0.1620
Ba: 0.6518 0.8284 0.6647
Ba: 0.6688 0.3329 0.4800
Ba: 0.8260 0.1740 0.1641
Ba: 0.8284 0.6518 0.1647
Sr: 0.0435 0.5215 0.3322
Sr: 0.5215 0.0435 0.8322
Nd: 0.4778 0.5214 0.3364
Nd: 0.4781 0.9568 0.3334
Nd: 0.5214 0.4778 0.8364
Nd: 0.9568 0.4781 0.8334
Fe: 0.1765 0.8191 0.1620
Fe: 0.1790 0.3581 0.1586
Fe: 0.3309 0.6648 0.5228
Fe: 0.3581 0.1790 0.6586
Fe: 0.6436 0.8197 0.1623
Fe: 0.6648 0.3309 0.0228
Fe: 0.8191 0.1765 0.6620
Fe: 0.8197 0.6436 0.6623
O: 0.0626 0.6702 0.0164
O: 0.0642 0.3926 0.0161
O: 0.0943 0.9028 0.2652
O: 0.0970 0.1933 0.2638
O: 0.1682 0.5829 0.6739
O: 0.1933 0.0970 0.7638
O: 0.2560 0.7552 0.3384
O: 0.2570 0.4988 0.3378
O: 0.3284 0.9355 0.0325
O: 0.3331 0.3958 0.0252
O: 0.3926 0.0642 0.5161
O: 0.3958 0.3331 0.5252
O: 0.4157 0.8295 0.6596
O: 0.4182 0.5811 0.6653
O: 0.4988 0.2570 0.8378
O: 0.5013 0.7482 0.3389
O: 0.5811 0.4182 0.1653
O: 0.5829 0.1682 0.1739
O: 0.6038 0.6655 0.0262
O: 0.6064 0.9348 0.0329
O: 0.6655 0.6038 0.5262
O: 0.6702 0.0626 0.5164
O: 0.7482 0.5013 0.8389
O: 0.7552 0.2560 0.8384
O: 0.8090 0.9027 0.2653
O: 0.8295 0.4157 0.1596
O: 0.9028 0.0943 0.7652
O: 0.9027 0.8090 0.7653
O: 0.9348 0.6064 0.5329
O: 0.9355 0.3284 0.5325

Largest 8 diffraction maxima, sorted by position, 5 to 70 degrees two-theta:
two_theta  Rel. int.
26.15  15
29.33  29
30.11  100
30.62  44
34.22  14
36.45  33
43.47  18
47.95  13

=====

Entry 7:
Diffraction record for LiPWO4F. The PXRD pattern is theoretical, not measured: it uses a GGA+U-relaxed structure and Cu Kα (weighted mean of Kα1 and Kα2).
Intensities are scaled so that the largest is 100.

a b c (Å): 5.2856 5.6357 7.6737
angles (deg): 106.78 108.12 97.32
Element x y z (fractional)
Li: 0.2283 0.3997 0.3290
Li: 0.7717 0.6003 0.6710
P: 0.1823 0.3679 0.7323
P: 0.8177 0.6321 0.2677
W: 0.5000 0.0000 0.0000
W: 0.5000 0.0000 0.5000
O: 0.1161 0.7443 0.4174
O: 0.1854 0.6513 0.8300
O: 0.2553 0.2279 0.8775
O: 0.3810 0.3516 0.6142
O: 0.6190 0.6484 0.3858
O: 0.7447 0.7721 0.1225
O: 0.8146 0.3487 0.1700
O: 0.8839 0.2557 0.5826
F: 0.3478 0.0838 0.2355
F: 0.6522 0.9162 0.7645

Largest 8 diffraction maxima, sorted by position, 5 to 70 degrees two-theta:
two_theta  Rel. int.
16.92  66
18.19  72
21.73  42
25.73  100
26.07  18
27.80  48
33.57  20
34.79  37

=====

Entry 8:
Diffraction record for Li6Co2C4SO16. The PXRD pattern is theoretical, not measured: it uses a GGA+U-relaxed structure and Cu Kα (weighted mean of Kα1 and Kα2).
Intensities are scaled so that the largest is 100.

a b c (Å): 9.3743 9.3743 9.3743
angles (deg): 60.00 60.00 60.00
Element x y z (fractional)
Li: 0.0934 0.0934 0.6566
Li: 0.0934 0.6566 0.0934
Li: 0.0934 0.6566 0.6566
Li: 0.3434 0.3434 0.9066
Li: 0.3434 0.9066 0.3434
Li: 0.3434 0.9066 0.9066
Li: 0.6566 0.0934 0.0934
Li: 0.6566 0.0934 0.6566
Li: 0.6566 0.6566 0.0934
Li: 0.9066 0.3434 0.3434
Li: 0.9066 0.3434 0.9066
Li: 0.9066 0.9066 0.3434
Co: 0.0000 0.5000 0.5000
Co: 0.5000 0.0000 0.5000
Co: 0.5000 0.5000 0.0000
Co: 0.5000 0.5000 0.5000
C: 0.2759 0.2759 0.2759
C: 0.2759 0.2759 0.6723
C: 0.2759 0.6723 0.2759
C: 0.3277 0.7241 0.7241
C: 0.6723 0.2759 0.2759
C: 0.7241 0.3277 0.7241
C: 0.7241 0.7241 0.3277
C: 0.7241 0.7241 0.7241
S: 0.1250 0.1250 0.1250
S: 0.8750 0.8750 0.8750
O: 0.0599 0.0599 0.0599
O: 0.0599 0.0599 0.3203
O: 0.0599 0.3203 0.0599
O: 0.1323 0.2858 0.6733
O: 0.1323 0.4086 0.2858
O: 0.1323 0.6733 0.4086
O: 0.2858 0.1323 0.4086
O: 0.2858 0.4086 0.6733
O: 0.2858 0.6733 0.1323
O: 0.3203 0.0599 0.0599
O: 0.3267 0.5914 0.8677
O: 0.3267 0.7142 0.5914
O: 0.3267 0.8677 0.7142
O: 0.4086 0.1323 0.6733
O: 0.4086 0.2858 0.1323
O: 0.4086 0.6733 0.2858
O: 0.5914 0.3267 0.7142
O: 0.5914 0.7142 0.8677
O: 0.5914 0.8677 0.3267
O: 0.6733 0.1323 0.2858
O: 0.6733 0.2858 0.4086
O: 0.6733 0.4086 0.1323
O: 0.6797 0.9401 0.9401
O: 0.7142 0.3267 0.8677
O: 0.7142 0.5914 0.3267
O: 0.7142 0.8677 0.5914
O: 0.8677 0.3267 0.5914
O: 0.8677 0.5914 0.7142
O: 0.8677 0.7142 0.3267
O: 0.9401 0.6797 0.9401
O: 0.9401 0.9401 0.6797
O: 0.9401 0.9401 0.9401

Largest 8 diffraction maxima, sorted by position, 5 to 70 degrees two-theta:
two_theta  Rel. int.
11.56  35
22.24  100
26.90  34
35.17  38
38.41  33
40.24  37
45.38  19
60.48  24

=====

Copy entry 7 word for word.
Diffraction record for LiPWO4F. The PXRD pattern is theoretical, not measured: it uses a GGA+U-relaxed structure and Cu Kα (weighted mean of Kα1 and Kα2).
Intensities are scaled so that the largest is 100.

a b c (Å): 5.2856 5.6357 7.6737
angles (deg): 106.78 108.12 97.32
Element x y z (fractional)
Li: 0.2283 0.3997 0.3290
Li: 0.7717 0.6003 0.6710
P: 0.1823 0.3679 0.7323
P: 0.8177 0.6321 0.2677
W: 0.5000 0.0000 0.0000
W: 0.5000 0.0000 0.5000
O: 0.1161 0.7443 0.4174
O: 0.1854 0.6513 0.8300
O: 0.2553 0.2279 0.8775
O: 0.3810 0.3516 0.6142
O: 0.6190 0.6484 0.3858
O: 0.7447 0.7721 0.1225
O: 0.8146 0.3487 0.1700
O: 0.8839 0.2557 0.5826
F: 0.3478 0.0838 0.2355
F: 0.6522 0.9162 0.7645

Largest 8 diffraction maxima, sorted by position, 5 to 70 degrees two-theta:
two_theta  Rel. int.
16.92  66
18.19  72
21.73  42
25.73  100
26.07  18
27.80  48
33.57  20
34.79  37